Theoretical X-ray powder pattern
Compound: Na6Fe2PC4O16
Radiation: CuKα
Structure: the GGA+U geometry in Alexandria

Structure:
a = 14.0543 Å, b = 14.0543 Å, c = 14.0543 Å
α = 90.00°, β = 90.00°, γ = 90.00°
Space group Fd-3 (No. 203, origin choice 2)
Unique sites:
Na: 0.0805 0.3750 0.3750 x48
Fe: 0.0000 0.0000 0.5000 x16
P: 0.1250 0.1250 0.1250 x8
C: 0.0346 0.0346 0.7154 x32
O: 0.0212 0.1048 0.7741 x96
O: 0.0608 0.0608 0.0608 x32

Principal peaks in the range 2θ = 10–90°, low angle first:
| 2θ (°) | I (rel.) |
| --- | --- |
| 10.9 | 26.8 |
| 21.0 | 76.5 |
| 33.1 | 100.0 |
| 36.2 | 50.4 |
| 37.9 | 17.7 |
| 42.7 | 16.7 |
| 46.1 | 19.8 |
| 55.5 | 13.2 |
| 56.7 | 31.3 |
| 57.1 | 17.7 |